This entry pairs a crystal structure of Cd7Ag16Au6 with its calculated powder X-ray diffraction pattern. Radiation: Cu Kα. Structure: a DFT-relaxed cell (PBE, Alexandria).
Kinematic intensities with the Lorentz-polarization factor, no thermal factor.

Principal peaks in the range 5 to 70 degrees two-theta, by angle:
2θ 13.4, rel. 3, hkl 2 0 0
2θ 19.0, rel. 10, hkl 2 2 0
2θ 30.3, rel. 3, hkl 4 2 0
2θ 33.3, rel. 6, hkl 4 2 2
2θ 35.3, rel. 4, hkl 5 1 1
2θ 38.6, rel. 100, hkl 4 4 0
2θ 43.4, rel. 3, hkl 6 2 0
2θ 51.8, rel. 3, hkl 6 4 2
2θ 55.7, rel. 16, hkl 8 0 0
2θ 69.8, rel. 31, hkl 8 4 4

```
data_Cd7Ag16Au6
_cell_length_a 13.1977
_cell_length_b 13.1977
_cell_length_c 13.1977
_cell_angle_alpha 90.00
_cell_angle_beta 90.00
_cell_angle_gamma 90.00
_symmetry_space_group_name_H-M 'F m -3 m'
_symmetry_Int_Tables_number 225
_symmetry_space_group_name_Hall '-F 4 2 3'
loop_
_atom_site_label
_atom_site_fract_x
_atom_site_fract_y
_atom_site_fract_z
_atom_site_occupancy
Cd1 0.0000 0.0000 0.0000 1
Cd2 0.0000 0.2500 0.2500 1
Ag1 0.1201 0.1201 0.3799 1
Ag2 0.1327 0.1327 0.1327 1
Au1 0.0000 0.0000 0.2430 1
```